The following is a calculated powder diffractogram of TiPd5Au5. It was derived from a cell relaxed with PBE, using Cu Kα, 1.54184 Å.

Structure:
a = 5.008 Å, b = 6.526 Å, c = 6.947 Å
α = 106.93°, β = 107.04°, γ = 106.81°
Element x y z (fractional)
1 Ti 0.000 0.000 0.000
2 Pd 0.047 0.347 0.323
3 Pd 0.099 0.717 0.146
4 Pd 0.500 0.000 0.000
5 Pd 0.901 0.283 0.854
6 Pd 0.953 0.653 0.677
7 Au 0.000 0.000 0.500
8 Au 0.454 0.515 0.800
9 Au 0.475 0.815 0.576
10 Au 0.525 0.185 0.424
11 Au 0.546 0.485 0.200

Top 10 peaks for 10 to 90 degrees two-theta, in order of rising 2θ:
2θ 25.5, I 30
2θ 36.3, I 62
2θ 38.8, I 85
2θ 39.0, I 100
2θ 39.3, I 62
2θ 39.6, I 45
2θ 40.0, I 77
2θ 41.0, I 49
2θ 41.3, I 68
2θ 43.5, I 56



The following is a calculated powder diffractogram of Nd4AlHg. It was derived from a cell relaxed with PBE, using Cu Kα, 1.54184 Å.

Structure:
a = 3.842 Å, b = 5.796 Å, c = 8.639 Å
α = 90.00°, β = 90.00°, γ = 90.00°
Element x y z (fractional)
1 Nd 0.000 0.000 0.206
2 Nd 0.000 0.000 0.794
3 Nd 0.500 0.500 0.282
4 Nd 0.500 0.500 0.718
5 Al 0.000 0.500 0.000
6 Hg 0.500 0.000 0.500

Top 10 peaks for 10 to 90 degrees two-theta, in order of rising 2θ:
2θ 10.2, I 12
2θ 20.6, I 11
2θ 25.4, I 21
2θ 27.9, I 15
2θ 30.9, I 31
2θ 34.9, I 100
2θ 40.4, I 12
2θ 57.5, I 24
2θ 57.6, I 11
2θ 67.7, I 11



The following is a calculated powder diffractogram of PmPr4Ho2Tm. It was derived from a cell relaxed with PBE, using Cu Kα, 1.54184 Å.

Structure:
a = 5.154 Å, b = 5.182 Å, c = 10.119 Å
α = 90.00°, β = 90.00°, γ = 90.00°
Element x y z (fractional)
1 Pm 0.000 0.000 0.000
2 Pr 0.000 0.500 0.252
3 Pr 0.000 0.500 0.748
4 Pr 0.500 0.000 0.253
5 Pr 0.500 0.000 0.747
6 Ho 0.000 0.000 0.500
7 Ho 0.500 0.500 0.000
8 Tm 0.500 0.500 0.500

Top 10 peaks for 10 to 90 degrees two-theta, in order of rising 2θ:
2θ 30.2, I 100
2θ 34.6, I 17
2θ 34.8, I 17
2θ 35.5, I 16
2θ 49.9, I 12
2θ 50.4, I 12
2θ 59.3, I 15
2θ 59.6, I 15
2θ 60.5, I 14
2θ 62.7, I 12



The following is a calculated powder diffractogram of Li2ScSn4. It was derived from a cell relaxed with PBE, using Cu Kα, 1.54184 Å.

Structure:
a = 5.953 Å, b = 5.953 Å, c = 5.953 Å
α = 110.17°, β = 110.17°, γ = 108.08°
Element x y z (fractional)
1 Li 0.000 0.500 0.500
2 Li 0.500 0.000 0.500
3 Sc 0.000 0.000 0.000
4 Sn 0.000 0.000 0.500
5 Sn 0.000 0.500 0.000
6 Sn 0.500 0.000 0.000
7 Sn 0.500 0.500 0.500

Top 10 peaks for 10 to 90 degrees two-theta, in order of rising 2θ:
2θ 25.5, I 40
2θ 26.2, I 76
2θ 36.8, I 100
2θ 37.3, I 48
2θ 45.7, I 35
2θ 53.8, I 17
2θ 59.4, I 17
2θ 60.5, I 16
2θ 66.0, I 19
2θ 67.0, I 36



The following is a calculated powder diffractogram of Li3B8C8. It was derived from a cell relaxed with PBE, using Cu Kα, 1.54184 Å.

Structure:
a = 7.358 Å, b = 7.358 Å, c = 9.384 Å
α = 108.90°, β = 108.90°, γ = 21.05°
Element x y z (fractional)
1 Li 0.000 0.000 0.000
2 Li 0.010 0.010 0.517
3 Li 0.257 0.257 0.144
4 B 0.129 0.129 0.243
5 B 0.144 0.144 0.750
6 B 0.364 0.364 0.510
7 B 0.368 0.368 0.014
8 B 0.631 0.631 0.990
9 B 0.653 0.653 0.503
10 B 0.861 0.861 0.759
11 B 0.891 0.891 0.276
12 C 0.136 0.136 0.909
13 C 0.146 0.146 0.414
14 C 0.366 0.366 0.849
15 C 0.389 0.389 0.361
16 C 0.626 0.626 0.154
17 C 0.645 0.645 0.663
18 C 0.859 0.859 0.593
19 C 0.876 0.876 0.104

Top 10 peaks for 10 to 90 degrees two-theta, in order of rising 2θ:
2θ 13.0, I 5
2θ 26.1, I 100
2θ 38.4, I 5
2θ 38.6, I 12
2θ 46.9, I 6
2θ 47.1, I 17
2θ 47.3, I 11
2θ 53.7, I 8
2θ 69.5, I 9
2θ 70.0, I 5



The following is a calculated powder diffractogram of U3Hg6Br14. It was derived from a cell relaxed with PBE, using Cu Kα, 1.54184 Å.

Structure:
a = 12.102 Å, b = 12.102 Å, c = 7.520 Å
α = 90.00°, β = 90.00°, γ = 120.00°
Element x y z (fractional)
1 U 0.000 0.000 0.000
2 U 0.333 0.667 0.549
3 U 0.667 0.333 0.336
4 Hg 0.037 0.515 0.674
5 Hg 0.284 0.201 0.126
6 Hg 0.478 0.963 0.674
7 Hg 0.485 0.522 0.674
8 Hg 0.799 0.083 0.126
9 Hg 0.917 0.716 0.126
10 Br 0.000 0.000 0.359
11 Br 0.065 0.214 0.821
12 Br 0.150 0.935 0.821
13 Br 0.222 0.776 0.370
14 Br 0.224 0.446 0.370
15 Br 0.333 0.667 0.908
16 Br 0.455 0.232 0.545
17 Br 0.554 0.121 0.128
18 Br 0.554 0.778 0.370
19 Br 0.567 0.446 0.128
20 Br 0.768 0.223 0.545
21 Br 0.777 0.545 0.545
22 Br 0.786 0.850 0.821
23 Br 0.879 0.433 0.128

Top 10 peaks for 10 to 90 degrees two-theta, in order of rising 2θ:
2θ 14.5, I 100
2θ 14.6, I 27
2θ 20.7, I 28
2θ 27.9, I 22
2θ 28.2, I 42
2θ 29.2, I 36
2θ 29.5, I 35
2θ 32.8, I 29
2θ 33.0, I 50
2θ 39.4, I 31



Which formula does entry 2 have? Nd4AlHg